[1]
Theoretical powder XRD pattern of KMgMn4O8 for a wavelength of 1.5418 Å, from a structure optimized by DFT (GGA+U).
Neutral-atom scattering factors, no anomalous dispersion.

Crystal structure
a b c (Å): 3.205 7.552 7.605
angles (deg): 87.89 77.90 79.93
Fractional positions:
1 K 0.000 0.000 0.000
2 Mg 0.251 0.507 0.500
3 Mn 0.075 0.165 0.521
4 Mn 0.426 0.514 0.837
5 Mn 0.745 0.836 0.475
6 Mn 0.769 0.466 0.166
7 O 0.218 0.961 0.361
8 O 0.388 0.688 0.641
9 O 0.412 0.352 0.040
10 O 0.560 0.045 0.634
11 O 0.658 0.303 0.375
12 O 0.831 0.624 0.957
13 O 0.966 0.366 0.694
14 O 0.984 0.629 0.312

Top 8 peaks for 2θ from 5° to 70°, low angle first:
Position (°2θ)	Rel. int.
11.90	89
16.86	53
23.94	56
26.81	100
34.06	30
37.53	51
38.58	43
52.19	52

---

[2]
Theoretical powder XRD pattern of CrC10O4 for a wavelength of 1.5418 Å, from a structure optimized by DFT (GGA+U).
Neutral-atom scattering factors, no anomalous dispersion.

Crystal structure
a b c (Å): 10.246 12.448 12.822
angles (deg): 70.75 88.61 71.43
Fractional positions:
1 Cr 0.098 0.059 0.398
2 Cr 0.397 0.965 0.419
3 Cr 0.603 0.035 0.581
4 Cr 0.902 0.941 0.602
5 C 0.143 0.780 0.100
6 C 0.176 0.363 0.647
7 C 0.207 0.322 0.012
8 C 0.217 0.622 0.720
9 C 0.235 0.711 0.202
10 C 0.236 0.736 0.693
11 C 0.239 0.847 0.091
12 C 0.241 0.285 0.126
13 C 0.242 0.883 0.288
14 C 0.245 0.835 0.593
15 C 0.246 0.819 0.208
16 C 0.247 0.185 0.229
17 C 0.248 0.234 0.699
18 C 0.258 0.148 0.528
19 C 0.267 0.692 0.810
20 C 0.271 0.224 0.593
21 C 0.285 0.338 0.573
22 C 0.292 0.386 0.088
23 C 0.329 0.569 0.809
24 C 0.331 0.362 0.988
25 C 0.669 0.638 0.012
26 C 0.671 0.431 0.191
27 C 0.708 0.614 0.912
28 C 0.715 0.662 0.427
29 C 0.729 0.776 0.407
30 C 0.733 0.308 0.190
31 C 0.742 0.852 0.472
32 C 0.752 0.766 0.301
33 C 0.753 0.815 0.771
34 C 0.754 0.181 0.792
35 C 0.755 0.165 0.407
36 C 0.758 0.117 0.712
37 C 0.759 0.715 0.874
38 C 0.761 0.153 0.909
39 C 0.764 0.264 0.307
40 C 0.765 0.289 0.798
41 C 0.783 0.378 0.280
42 C 0.793 0.678 0.988
43 C 0.824 0.637 0.353
44 C 0.857 0.220 0.900
45 O 0.125 0.936 0.315
46 O 0.127 0.916 0.551
47 O 0.128 0.178 0.256
48 O 0.142 0.160 0.489
49 O 0.361 0.834 0.558
50 O 0.361 0.878 0.320
51 O 0.364 0.119 0.282
52 O 0.375 0.074 0.520
53 O 0.625 0.926 0.480
54 O 0.636 0.881 0.718
55 O 0.639 0.122 0.680
56 O 0.639 0.166 0.442
57 O 0.858 0.840 0.511
58 O 0.872 0.822 0.744
59 O 0.873 0.084 0.449
60 O 0.875 0.064 0.685

Top 8 peaks for 2θ from 5° to 70°, low angle first:
Position (°2θ)	Rel. int.
7.33	96
7.97	100
8.81	91
11.20	17
12.54	30
13.46	20
18.01	26
18.34	19

---

[3]
Theoretical powder XRD pattern of CaCoBP2H5O11 for a wavelength of 1.5418 Å, from a structure optimized by DFT (GGA+U).
Neutral-atom scattering factors, no anomalous dispersion.

Crystal structure
a b c (Å): 6.613 7.960 8.923
angles (deg): 69.41 84.11 74.41
Fractional positions:
1 Ca 0.087 0.049 0.159
2 Ca 0.913 0.951 0.841
3 Co 0.327 0.175 0.403
4 Co 0.673 0.825 0.597
5 B 0.461 0.519 0.791
6 B 0.539 0.481 0.209
7 P 0.203 0.763 0.549
8 P 0.438 0.786 0.936
9 P 0.562 0.214 0.064
10 P 0.797 0.237 0.451
11 H 0.088 0.273 0.622
12 H 0.091 0.576 0.112
13 H 0.160 0.369 0.892
14 H 0.266 0.551 0.322
15 H 0.290 0.351 0.620
16 H 0.710 0.649 0.380
17 H 0.734 0.449 0.678
18 H 0.840 0.631 0.108
19 H 0.909 0.424 0.888
20 H 0.912 0.727 0.378
21 O 0.004 0.186 0.361
22 O 0.034 0.325 0.935
23 O 0.160 0.757 0.384
24 O 0.239 0.928 0.955
25 O 0.241 0.256 0.598
26 O 0.326 0.462 0.264
27 O 0.327 0.557 0.652
28 O 0.350 0.890 0.536
29 O 0.364 0.649 0.877
30 O 0.395 0.134 0.179
31 O 0.457 0.328 0.895
32 O 0.543 0.672 0.105
33 O 0.605 0.866 0.821
34 O 0.636 0.351 0.123
35 O 0.650 0.110 0.464
36 O 0.673 0.443 0.348
37 O 0.674 0.538 0.736
38 O 0.759 0.744 0.402
39 O 0.761 0.072 0.045
40 O 0.840 0.243 0.616
41 O 0.966 0.675 0.065
42 O 0.996 0.814 0.639

Top 8 peaks for 2θ from 5° to 70°, low angle first:
Position (°2θ)	Rel. int.
12.27	46
13.23	100
18.77	29
26.63	32
30.12	84
30.25	27
31.39	54
33.34	38

---

[4]
Theoretical powder XRD pattern of MgV4O6F6 for a wavelength of 1.5418 Å, from a structure optimized by DFT (GGA+U).
Neutral-atom scattering factors, no anomalous dispersion.

Crystal structure
a b c (Å): 5.116 5.198 9.331
angles (deg): 77.20 76.97 62.00
Fractional positions:
1 Mg 0.000 0.000 0.000
2 V 0.166 0.132 0.552
3 V 0.390 0.418 0.802
4 V 0.695 0.630 0.049
5 V 0.915 0.833 0.330
6 O 0.041 0.652 0.921
7 O 0.113 0.945 0.440
8 O 0.244 0.342 0.676
9 O 0.651 0.399 0.940
10 O 0.724 0.842 0.168
11 O 0.949 0.517 0.436
12 F 0.275 0.693 0.172
13 F 0.399 0.016 0.934
14 F 0.412 0.769 0.681
15 F 0.541 0.118 0.422
16 F 0.817 0.166 0.699
17 F 0.918 0.244 0.167

Top 8 peaks for 2θ from 5° to 70°, low angle first:
Position (°2θ)	Rel. int.
23.06	95
23.42	99
24.72	100
32.45	22
33.50	41
47.13	26
47.91	25
50.69	23

---

[5]
Theoretical powder XRD pattern of ErVO2 for a wavelength of 1.5418 Å, from a structure optimized by DFT (GGA+U).
Neutral-atom scattering factors, no anomalous dispersion.

Crystal structure
a b c (Å): 7.213 7.213 7.213
angles (deg): 129.22 129.22 74.66
Fractional positions:
1 Er 0.000 0.000 0.000
2 Er 0.000 0.000 0.500
3 Er 0.000 0.500 0.000
4 Er 0.500 0.000 0.500
5 V 0.000 0.500 0.500
6 V 0.500 0.000 0.000
7 V 0.500 0.500 0.000
8 V 0.500 0.500 0.500
9 O 0.202 0.214 0.512
10 O 0.202 0.690 0.988
11 O 0.214 0.202 0.012
12 O 0.310 0.798 0.512
13 O 0.690 0.202 0.488
14 O 0.786 0.798 0.988
15 O 0.798 0.310 0.012
16 O 0.798 0.786 0.488

Top 8 peaks for 2θ from 5° to 70°, low angle first:
Position (°2θ)	Rel. int.
16.28	57
31.19	43
32.90	100
33.32	22
41.28	46
52.63	37
56.60	29
69.97	24